This entry pairs a crystal structure of CaTi2S4 with its theoretical powder diffractogram. Radiation: Cu Kα (λ = 1.5418 Å). Structure: a cell relaxed with PBE.
Intensities are scaled so that the largest is 100.

Largest 8 diffraction maxima, sorted by position, 10° ≤ 2θ ≤ 80°:
| d_spacing | Rel. int. | hkl |
| --- | --- | --- |
| 6.200 | 43 | 1 1 1 |
| 3.796 | 30 | 2 2 0 |
| 3.238 | 84 | 3 1 1 |
| 2.685 | 76 | 4 0 0 |
| 2.067 | 64 | 5 1 1 |
| 1.898 | 100 | 4 4 0 |
| 1.550 | 13 | 4 4 4 |
| 1.398 | 15 | 5 5 3 |

Cell and atoms:
Unit cell a=10.7381 b=10.7381 c=10.7381 alpha=90.00 beta=90.00 gamma=90.00
Space group Fd-3m (No. 227, origin choice 2)
Unique sites:
Ca1 0.1250 0.1250 0.1250
Ti1 0.0000 0.0000 0.5000
S1 0.0161 0.0161 0.7339

---

This entry pairs a crystal structure of CaTi2S4 with its theoretical powder diffractogram. Radiation: Cu Kα (λ = 1.5418 Å). Structure: a cell relaxed with PBE.
Intensities are scaled so that the largest is 100.

Largest 8 diffraction maxima, sorted by position, 10° ≤ 2θ ≤ 80°:
| d_spacing | Rel. int. | hkl |
| --- | --- | --- |
| 3.782 | 24 | 0 2 1 |
| 3.233 | 76 | 1 1 1 |
| 3.175 | 49 | 1 1 -2 |
| 2.696 | 33 | 0 4 0 |
| 2.657 | 33 | 0 0 2 |
| 2.648 | 33 | 4 0 -2 |
| 1.907 | 27 | 4 0 0 |
| 1.891 | 100 | 0 4 2 |

Cell and atoms:
Unit cell a=10.5995 b=10.7843 c=7.3817 alpha=90.00 beta=133.96 gamma=90.00
Space group C2/c (No. 15)
Unique sites:
Ca1 0.2500 0.2500 0.0000
Ti1 0.0000 0.0000 0.0000
Ti2 0.0000 0.3747 0.2500
S1 0.0002 0.2329 0.0182
S2 0.2316 0.0083 0.4818

---

This entry pairs a crystal structure of CaTi2S4 with its theoretical powder diffractogram. Radiation: Cu Kα (λ = 1.5418 Å). Structure: a cell relaxed with PBE.
Intensities are scaled so that the largest is 100.

Largest 8 diffraction maxima, sorted by position, 10° ≤ 2θ ≤ 80°:
| d_spacing | Rel. int. | hkl |
| --- | --- | --- |
| 6.631 | 54 | 0 0 1 |
| 2.598 | 100 | 1 1 1 |
| 2.569 | 48 | 2 0 -2 |
| 1.934 | 34 | 1 1 -3 |
| 1.899 | 17 | 2 0 2 |
| 1.781 | 15 | 0 2 0 |
| 1.735 | 27 | 3 1 -1 |
| 1.464 | 14 | 2 2 -2 |

Cell and atoms:
Unit cell a=5.9621 b=3.5613 c=6.9437 alpha=90.00 beta=107.27 gamma=90.00
Space group P2/m (No. 10)
Unique sites:
Ca1 0.0000 0.0000 0.0000
Ti1 0.0000 0.5000 0.5000
Ti2 0.5000 0.0000 0.5000
S1 0.2412 0.0000 0.7136
S2 0.2642 0.5000 0.2807

---

This entry pairs a crystal structure of Ca5Ti8S16 with its theoretical powder diffractogram. Radiation: Cu Kα (λ = 1.5418 Å). Structure: a cell relaxed with PBE.
Intensities are scaled so that the largest is 100.

Largest 8 diffraction maxima, sorted by position, 10° ≤ 2θ ≤ 80°:
| d_spacing | Rel. int. | hkl |
| --- | --- | --- |
| 6.660 | 69 | 0 0 2 |
| 2.814 | 66 | 2 2 -2 |
| 2.763 | 29 | 4 0 2 |
| 2.278 | 100 | 2 2 -4 |
| 2.252 | 40 | 2 2 4 |
| 2.231 | 45 | 4 0 4 |
| 1.788 | 26 | 0 4 0 |
| 1.776 | 48 | 6 2 0 |

Cell and atoms:
Unit cell a=12.2782 b=7.1505 c=13.3235 alpha=90.00 beta=91.30 gamma=90.00
Space group C2/m (No. 12)
Unique sites:
Ca1 0.0000 0.0000 0.0000
Ca2 0.0000 0.0000 0.5000
Ca3 0.0000 0.5000 0.0000
Ca4 0.2500 0.2500 0.5000
Ti1 0.0070 0.5000 0.7457
Ti2 0.0163 0.0000 0.7492
Ti3 0.2393 0.2361 0.7552
S1 0.0779 0.2502 0.1490
S2 0.0830 0.2498 0.6374
S3 0.1672 0.0000 0.3565
S4 0.1683 0.5000 0.8547
S5 0.1702 0.0000 0.8668
S6 0.1709 0.5000 0.3551

---

This entry pairs a crystal structure of CaUS2 with its theoretical powder diffractogram. Radiation: Cu Kα (λ = 1.5418 Å). Structure: a cell relaxed with PBE.
Intensities are scaled so that the largest is 100.

Largest 8 diffraction maxima, sorted by position, 10° ≤ 2θ ≤ 80°:
| d_spacing | Rel. int. | hkl |
| --- | --- | --- |
| 6.808 | 65 | 1 0 1 |
| 4.324 | 54 | 1 1 2 |
| 3.404 | 77 | 2 0 2 |
| 3.386 | 68 | 2 1 1 |
| 2.789 | 100 | 2 1 3 |
| 2.176 | 49 | 2 1 5 |
| 2.139 | 40 | 3 2 1 |
| 1.878 | 43 | 4 0 2 |

Cell and atoms:
Unit cell a=7.8062 b=7.8062 c=13.9146 alpha=90.00 beta=90.00 gamma=90.00
Space group I-42d (No. 122)
Unique sites:
Ca1 0.1046 0.2500 0.1250
U1 0.1009 0.7500 0.6250
S1 0.1442 0.6490 0.0000

---

This entry pairs a crystal structure of CaV2S5 with its theoretical powder diffractogram. Radiation: Cu Kα (λ = 1.5418 Å). Structure: a cell relaxed with PBE.
Intensities are scaled so that the largest is 100.

Largest 8 diffraction maxima, sorted by position, 10° ≤ 2θ ≤ 80°:
| d_spacing | Rel. int. | hkl |
| --- | --- | --- |
| 5.954 | 82 | 0 0 1 |
| 3.713 | 62 | 0 3 1 |
| 3.451 | 100 | 1 0 1 |
| 2.977 | 57 | 0 0 2 |
| 2.792 | 65 | 1 3 1 |
| 2.374 | 57 | 0 6 0 |
| 2.305 | 54 | 1 2 2 |
| 2.118 | 71 | 2 0 0 |

Cell and atoms:
Unit cell a=4.2359 b=14.2466 c=5.9537 alpha=90.00 beta=90.00 gamma=90.00
Space group Pmmn (No. 59, origin choice 2)
Unique sites:
Ca1 0.2500 0.2500 0.1257
V1 0.2500 0.5975 0.3937
S1 0.2500 0.0698 0.4444
S2 0.2500 0.6215 0.0400
S3 0.2500 0.7500 0.5391